Computed powder diffractogram of Sm2Zn5Cu12 for Cu Ka, from a crystal structure in Alexandria, relaxed with GGA-PBE.
Kinematic intensities with the Lorentz-polarization factor, no thermal factor.

Structural model:
Cell lengths 6.5873, 6.5873, 6.5873 Å; angles 82.80, 82.80, 82.80 degrees
Sites, in units of the cell vectors:
Sm (0.1491, 0.1491, 0.1491)
Sm (0.8509, 0.8509, 0.8509)
Zn (0.0000, 0.5000, 0.5000)
Zn (0.4006, 0.4006, 0.4006)
Zn (0.5000, 0.0000, 0.5000)
Zn (0.5000, 0.5000, 0.0000)
Zn (0.5994, 0.5994, 0.5994)
Cu (0.1531, 0.1531, 0.6548)
Cu (0.1531, 0.6548, 0.1531)
Cu (0.1999, 0.5000, 0.8001)
Cu (0.1999, 0.8001, 0.5000)
Cu (0.3452, 0.8469, 0.8469)
Cu (0.5000, 0.1999, 0.8001)
Cu (0.5000, 0.8001, 0.1999)
Cu (0.6548, 0.1531, 0.1531)
Cu (0.8001, 0.1999, 0.5000)
Cu (0.8001, 0.5000, 0.1999)
Cu (0.8469, 0.3452, 0.8469)
Cu (0.8469, 0.8469, 0.3452)

Principal peaks in the range 10 to 90 degrees two-theta, sorted by position:
2θ 29.35, rel. 24; 2θ 35.70, rel. 42; 2θ 36.90, rel. 32; 2θ 41.46, rel. 62; 2θ 41.72, rel. 100; 2θ 42.51, rel. 50; 2θ 46.86, rel. 33; 2θ 60.88, rel. 23; 2θ 68.25, rel. 20; 2θ 75.62, rel. 20


Computed powder diffractogram of Sm5ZnCu2 for Cu Ka, from a crystal structure in Alexandria, relaxed with GGA-PBE.
Kinematic intensities with the Lorentz-polarization factor, no thermal factor.

Structural model:
Cell lengths 8.5229, 8.5229, 8.5229 Å; angles 123.59, 123.59, 83.89 degrees
Sites, in units of the cell vectors:
Sm (0.0000, 0.0000, 0.0000)
Sm (0.0124, 0.5124, 0.8150)
Sm (0.1974, 0.0124, 0.5000)
Sm (0.3026, 0.8026, 0.8150)
Sm (0.4876, 0.3026, 0.5000)
Sm (0.5000, 0.5000, 0.0000)
Sm (0.5124, 0.6974, 0.5000)
Sm (0.6974, 0.1974, 0.1850)
Sm (0.8026, 0.9876, 0.5000)
Sm (0.9876, 0.4876, 0.1850)
Zn (0.2500, 0.2500, 0.0000)
Zn (0.7500, 0.7500, 0.0000)
Cu (0.1255, 0.3745, 0.5000)
Cu (0.3745, 0.8745, 0.2489)
Cu (0.6255, 0.1255, 0.7511)
Cu (0.8745, 0.6255, 0.5000)

Principal peaks in the range 10 to 90 degrees two-theta, sorted by position:
2θ 25.70, rel. 23; 2θ 31.40, rel. 10; 2θ 32.32, rel. 18; 2θ 32.66, rel. 100; 2θ 35.23, rel. 57; 2θ 36.06, rel. 26; 2θ 51.53, rel. 12; 2θ 56.53, rel. 27; 2θ 56.90, rel. 10; 2θ 66.27, rel. 16


Computed powder diffractogram of Sm2Zn16Cu for Cu Ka, from a crystal structure in Alexandria, relaxed with GGA-PBE.
Kinematic intensities with the Lorentz-polarization factor, no thermal factor.

Structural model:
Cell lengths 6.8086, 6.8086, 6.8086 Å; angles 82.69, 82.69, 82.69 degrees
Sites, in units of the cell vectors:
Sm (0.0000, 0.0000, 0.0000)
Sm (0.3303, 0.3303, 0.3303)
Zn (0.0165, 0.0165, 0.5078)
Zn (0.0165, 0.5078, 0.0165)
Zn (0.1603, 0.6693, 0.6693)
Zn (0.3132, 0.3132, 0.8278)
Zn (0.3132, 0.8278, 0.3132)
Zn (0.3748, 0.6666, 0.9584)
Zn (0.3748, 0.9584, 0.6666)
Zn (0.5078, 0.0165, 0.0165)
Zn (0.5681, 0.5681, 0.5681)
Zn (0.6666, 0.3748, 0.9584)
Zn (0.6666, 0.9583, 0.3748)
Zn (0.6693, 0.1603, 0.6693)
Zn (0.6693, 0.6693, 0.1603)
Zn (0.8278, 0.3132, 0.3132)
Zn (0.9584, 0.3748, 0.6666)
Zn (0.9584, 0.6666, 0.3748)
Cu (0.7643, 0.7643, 0.7643)

Principal peaks in the range 10 to 90 degrees two-theta, sorted by position:
2θ 28.37, rel. 28; 2θ 34.54, rel. 38; 2θ 35.64, rel. 26; 2θ 40.10, rel. 62; 2θ 40.32, rel. 100; 2θ 41.02, rel. 47; 2θ 41.29, rel. 22; 2θ 45.28, rel. 31; 2θ 58.70, rel. 23; 2θ 72.86, rel. 23


Computed powder diffractogram of Sm2Zn7Cu for Cu Ka, from a crystal structure in Alexandria, relaxed with GGA-PBE.
Kinematic intensities with the Lorentz-polarization factor, no thermal factor.

Structural model:
Cell lengths 4.1928, 4.1928, 10.5637 Å; angles 90.00, 90.00, 90.00 degrees
Sites, in units of the cell vectors:
Sm (0.0000, 0.5000, 0.2481)
Sm (0.5000, 0.0000, 0.7519)
Zn (0.0000, 0.0000, 0.0000)
Zn (0.0000, 0.0000, 0.5000)
Zn (0.0000, 0.5000, 0.6355)
Zn (0.0000, 0.5000, 0.8683)
Zn (0.5000, 0.0000, 0.1317)
Zn (0.5000, 0.0000, 0.3645)
Zn (0.5000, 0.5000, 0.5000)
Cu (0.5000, 0.5000, 0.0000)

Principal peaks in the range 10 to 90 degrees two-theta, sorted by position:
2θ 30.14, rel. 17; 2θ 33.23, rel. 65; 2θ 34.70, rel. 100; 2θ 43.15, rel. 54; 2θ 48.23, rel. 31; 2θ 55.52, rel. 29; 2θ 62.67, rel. 17; 2θ 66.69, rel. 23; 2θ 73.66, rel. 21; 2θ 87.26, rel. 13


What is the formula in the fourth record? Sm2Zn7Cu